1.
Theoretical powder diffractogram
Compound: La6Pm5Er2
Radiation: Cu Ka
Structure: a cell relaxed with GGA-PBE
Peak positions follow from Bragg's law for the DFT cell and can differ from measured ones.

Atomic structure:
Unit cell a=11.265 b=23.019 c=3.598 alpha=90.00 beta=90.00 gamma=90.00
Positions (direct):
La 0.033 0.111 0.000
La 0.134 0.383 0.000
La 0.165 0.636 0.500
La 0.335 0.136 0.500
La 0.366 0.883 0.000
La 0.467 0.611 0.000
La 0.533 0.389 0.000
La 0.634 0.117 0.000
La 0.665 0.864 0.500
La 0.835 0.364 0.500
La 0.866 0.617 0.000
La 0.967 0.889 0.000
Pm 0.000 0.500 0.500
Pm 0.087 0.247 0.500
Pm 0.166 0.991 0.500
Pm 0.334 0.491 0.500
Pm 0.413 0.747 0.500
Pm 0.500 0.000 0.500
Pm 0.587 0.253 0.500
Pm 0.666 0.509 0.500
Pm 0.834 0.009 0.500
Pm 0.913 0.753 0.500
Er 0.164 0.774 0.000
Er 0.336 0.274 0.000
Er 0.664 0.726 0.000
Er 0.836 0.226 0.000

Top 12 peaks for 10° ≤ 2θ ≤ 90°, most intense first:
d [Å], 2θ (°), I (rel.)
2.820, 31.73, 100.0
2.910, 30.73, 68.1
2.877, 31.08, 54.6
2.532, 35.45, 42.6
3.373, 26.43, 42.5
1.526, 60.68, 33.4
2.794, 32.03, 32.1
3.051, 29.27, 28.9
2.683, 33.40, 28.9
3.285, 27.14, 26.6
1.530, 60.50, 23.7
1.799, 50.74, 21.6

2.
Theoretical powder diffractogram
Compound: Ga2AgSe4
Radiation: Cu Ka
Structure: a cell relaxed with GGA-PBE
Peak positions follow from Bragg's law for the DFT cell and can differ from measured ones.

Atomic structure:
Unit cell a=5.367 b=5.367 c=6.390 alpha=90.00 beta=90.00 gamma=90.00
Positions (direct):
Ga 0.000 0.500 0.000
Ga 0.500 0.000 0.000
Ag 0.000 0.000 0.500
Se 0.271 0.271 0.760
Se 0.271 0.729 0.240
Se 0.729 0.271 0.240
Se 0.729 0.729 0.760

Top 12 peaks for 10° ≤ 2θ ≤ 90°, most intense first:
d [Å], 2θ (°), I (rel.)
3.263, 27.33, 100.0
2.055, 44.07, 51.7
1.640, 56.07, 23.8
1.897, 47.94, 19.5
1.857, 49.05, 19.1
4.110, 21.62, 14.4
1.123, 86.67, 12.4
1.327, 71.02, 11.2
2.745, 32.62, 9.1
1.222, 78.23, 8.7
2.247, 40.13, 8.1
2.400, 37.47, 6.1

3.
Theoretical powder diffractogram
Compound: Pr2Mg16Zn
Radiation: Cu Ka
Structure: a cell relaxed with GGA-PBE
Peak positions follow from Bragg's law for the DFT cell and can differ from measured ones.

Atomic structure:
Unit cell a=7.773 b=7.773 c=7.773 alpha=82.28 beta=82.28 gamma=82.28
Positions (direct):
Pr 0.000 0.000 0.000
Pr 0.348 0.348 0.348
Mg 0.023 0.023 0.516
Mg 0.023 0.516 0.023
Mg 0.179 0.671 0.671
Mg 0.323 0.323 0.833
Mg 0.323 0.833 0.323
Mg 0.372 0.673 0.974
Mg 0.372 0.974 0.673
Mg 0.516 0.023 0.023
Mg 0.671 0.179 0.671
Mg 0.671 0.671 0.179
Mg 0.673 0.372 0.974
Mg 0.673 0.974 0.372
Mg 0.758 0.758 0.758
Mg 0.833 0.323 0.323
Mg 0.974 0.372 0.673
Mg 0.974 0.673 0.372
Zn 0.566 0.566 0.566

Top 12 peaks for 10° ≤ 2θ ≤ 90°, most intense first:
d [Å], 2θ (°), I (rel.)
2.549, 35.20, 100.0
3.595, 24.77, 74.2
2.557, 35.09, 70.1
5.114, 17.34, 68.7
2.953, 30.27, 68.0
2.502, 35.89, 32.4
5.760, 15.38, 30.1
2.527, 35.52, 25.1
1.805, 50.56, 24.9
2.248, 40.12, 24.6
3.063, 29.16, 23.0
1.463, 63.58, 22.7

Please write out number 1 again, unchanged.
Theoretical powder diffractogram
Compound: La6Pm5Er2
Radiation: Cu Ka
Structure: a cell relaxed with GGA-PBE
Peak positions follow from Bragg's law for the DFT cell and can differ from measured ones.

Atomic structure:
Unit cell a=11.265 b=23.019 c=3.598 alpha=90.00 beta=90.00 gamma=90.00
Positions (direct):
La 0.033 0.111 0.000
La 0.134 0.383 0.000
La 0.165 0.636 0.500
La 0.335 0.136 0.500
La 0.366 0.883 0.000
La 0.467 0.611 0.000
La 0.533 0.389 0.000
La 0.634 0.117 0.000
La 0.665 0.864 0.500
La 0.835 0.364 0.500
La 0.866 0.617 0.000
La 0.967 0.889 0.000
Pm 0.000 0.500 0.500
Pm 0.087 0.247 0.500
Pm 0.166 0.991 0.500
Pm 0.334 0.491 0.500
Pm 0.413 0.747 0.500
Pm 0.500 0.000 0.500
Pm 0.587 0.253 0.500
Pm 0.666 0.509 0.500
Pm 0.834 0.009 0.500
Pm 0.913 0.753 0.500
Er 0.164 0.774 0.000
Er 0.336 0.274 0.000
Er 0.664 0.726 0.000
Er 0.836 0.226 0.000

Top 12 peaks for 10° ≤ 2θ ≤ 90°, most intense first:
d [Å], 2θ (°), I (rel.)
2.820, 31.73, 100.0
2.910, 30.73, 68.1
2.877, 31.08, 54.6
2.532, 35.45, 42.6
3.373, 26.43, 42.5
1.526, 60.68, 33.4
2.794, 32.03, 32.1
3.051, 29.27, 28.9
2.683, 33.40, 28.9
3.285, 27.14, 26.6
1.530, 60.50, 23.7
1.799, 50.74, 21.6